[1]
Computed powder diffraction line list
Compound: Na2Pr2MgTi2O8
Radiation: Cu Kα (weighted mean of Kα1 and Kα2)
Structure: a DFT-relaxed cell (GGA-PBE, the Materials Project)
Neutral-atom scattering factors, no anomalous dispersion.

Peak list (10 most intense, 10° ≤ 2θ ≤ 90°, in order of rising 2θ)
| 2theta | I (rel.) |
| --- | --- |
| 27.0 | 100 |
| 31.7 | 99 |
| 32.3 | 85 |
| 33.2 | 40 |
| 43.7 | 33 |
| 44.1 | 47 |
| 46.4 | 62 |
| 54.5 | 29 |
| 57.2 | 38 |
| 65.6 | 26 |

Structural model:
Unit cell a=3.9176 b=3.9176 c=12.2108 alpha=90.00 beta=90.00 gamma=90.00
Fractional coordinates of all 15 atoms:
Na: 0.0000 0.5000 0.1361
Na: 0.5000 0.0000 0.8639
Pr: 0.0000 0.5000 0.3895
Pr: 0.5000 0.0000 0.6105
Mg: 0.0000 0.0000 0.0000
Ti: 0.0000 0.5000 0.7641
Ti: 0.5000 0.0000 0.2359
O: 0.0000 0.0000 0.2427
O: 0.0000 0.0000 0.7573
O: 0.0000 0.5000 0.5792
O: 0.0000 0.5000 0.9325
O: 0.5000 0.0000 0.0675
O: 0.5000 0.0000 0.4208
O: 0.5000 0.5000 0.2597
O: 0.5000 0.5000 0.7403


[2]
Computed powder diffraction line list
Compound: Nd2Fe15Co2
Radiation: Cu Kα (weighted mean of Kα1 and Kα2)
Structure: a DFT-relaxed cell (GGA-PBE, the Materials Project)
Neutral-atom scattering factors, no anomalous dispersion.

Peak list (10 most intense, 10° ≤ 2θ ≤ 90°, in order of rising 2θ)
| 2theta | I (rel.) |
| --- | --- |
| 30.0 | 38 |
| 36.4 | 41 |
| 37.7 | 26 |
| 42.2 | 64 |
| 42.6 | 100 |
| 43.5 | 17 |
| 43.6 | 31 |
| 47.8 | 22 |
| 77.2 | 16 |
| 79.4 | 16 |

Structural model:
Unit cell a=6.4529 b=6.4529 c=6.4529 alpha=83.08 beta=83.08 gamma=83.08
Fractional coordinates of all 19 atoms:
Nd: 0.1582 0.1582 0.1582
Nd: 0.8418 0.8418 0.8418
Fe: 0.0000 0.5000 0.5000
Fe: 0.1589 0.1589 0.6539
Fe: 0.1589 0.6539 0.1589
Fe: 0.2097 0.5000 0.7903
Fe: 0.2097 0.7903 0.5000
Fe: 0.3461 0.8411 0.8411
Fe: 0.5000 0.0000 0.5000
Fe: 0.5000 0.2097 0.7903
Fe: 0.5000 0.5000 0.0000
Fe: 0.5000 0.7903 0.2097
Fe: 0.6539 0.1589 0.1589
Fe: 0.7903 0.2097 0.5000
Fe: 0.7903 0.5000 0.2097
Fe: 0.8411 0.3461 0.8411
Fe: 0.8411 0.8411 0.3461
Co: 0.4063 0.4063 0.4063
Co: 0.5937 0.5937 0.5937


[3]
Computed powder diffraction line list
Compound: Ce3SiS2
Radiation: Cu Kα (weighted mean of Kα1 and Kα2)
Structure: a DFT-relaxed cell (GGA-PBE, the Materials Project)
Neutral-atom scattering factors, no anomalous dispersion.

Peak list (10 most intense, 10° ≤ 2θ ≤ 90°, in order of rising 2θ)
| 2theta | I (rel.) |
| --- | --- |
| 26.6 | 75 |
| 30.9 | 100 |
| 44.2 | 24 |
| 44.2 | 48 |
| 52.3 | 24 |
| 52.4 | 12 |
| 54.9 | 25 |
| 70.9 | 12 |
| 73.0 | 16 |
| 81.4 | 12 |

Structural model:
Unit cell a=7.0971 b=7.0971 c=7.0971 alpha=146.37 beta=131.90 gamma=59.97
Fractional coordinates of all 6 atoms:
Ce: 0.0000 0.0000 0.0000
Ce: 0.3294 0.3294 0.0000
Ce: 0.6706 0.6706 0.0000
Si: 0.5000 0.0000 0.5000
S: 0.1655 0.6655 0.5000
S: 0.8345 0.3345 0.5000


[4]
Computed powder diffraction line list
Compound: InH8C8N4Cl7
Radiation: Cu Kα (weighted mean of Kα1 and Kα2)
Structure: a DFT-relaxed cell (GGA-PBE, the Materials Project)
Neutral-atom scattering factors, no anomalous dispersion.

Peak list (10 most intense, 10° ≤ 2θ ≤ 90°, in order of rising 2θ)
| 2theta | I (rel.) |
| --- | --- |
| 10.3 | 100 |
| 10.7 | 43 |
| 12.6 | 22 |
| 13.1 | 30 |
| 14.9 | 49 |
| 18.7 | 21 |
| 23.8 | 35 |
| 26.5 | 26 |
| 27.3 | 27 |
| 27.6 | 21 |

Structural model:
Unit cell a=11.1905 b=13.5532 c=8.2559 alpha=90.00 beta=90.00 gamma=90.00
Fractional coordinates of all 56 atoms:
In: 0.0000 0.0000 0.0984
In: 0.5000 0.5000 0.9016
H: 0.0749 0.5307 0.5712
H: 0.1386 0.2364 0.9708
H: 0.1616 0.8429 0.9590
H: 0.1722 0.0587 0.3461
H: 0.3278 0.5587 0.6539
H: 0.3384 0.3429 0.0410
H: 0.3614 0.7364 0.0292
H: 0.4251 0.0307 0.4288
H: 0.5749 0.9693 0.4288
H: 0.6386 0.2636 0.0292
H: 0.6616 0.6571 0.0410
H: 0.6722 0.4413 0.6539
H: 0.8278 0.9413 0.3461
H: 0.8384 0.1571 0.9590
H: 0.8614 0.7636 0.9708
H: 0.9251 0.4693 0.5712
C: 0.0525 0.3802 0.0500
C: 0.0571 0.3779 0.8657
C: 0.1891 0.1101 0.6067
C: 0.2335 0.1911 0.4916
C: 0.2665 0.6911 0.5084
C: 0.3109 0.6101 0.3933
C: 0.4429 0.8779 0.1343
C: 0.4475 0.8802 0.9500
C: 0.5525 0.1198 0.9500
C: 0.5571 0.1221 0.1343
C: 0.6891 0.3899 0.3933
C: 0.7335 0.3089 0.5084
C: 0.7665 0.8089 0.4916
C: 0.8109 0.8899 0.6067
C: 0.9429 0.6221 0.8657
C: 0.9475 0.6198 0.0500
N: 0.0975 0.3059 0.9620
N: 0.1913 0.1031 0.4455
N: 0.3087 0.6031 0.5545
N: 0.4025 0.8059 0.0380
N: 0.5975 0.1941 0.0380
N: 0.6913 0.3969 0.5545
N: 0.8087 0.8969 0.4455
N: 0.9025 0.6941 0.9620
Cl: 0.0000 0.5000 0.4574
Cl: 0.0969 0.8786 0.2713
Cl: 0.1011 0.8711 0.8338
Cl: 0.1886 0.0857 0.0445
Cl: 0.3114 0.5857 0.9555
Cl: 0.3989 0.3711 0.1662
Cl: 0.4031 0.3786 0.7287
Cl: 0.5000 0.0000 0.5426
Cl: 0.5969 0.6214 0.7287
Cl: 0.6011 0.6289 0.1662
Cl: 0.6886 0.4143 0.9555
Cl: 0.8114 0.9143 0.0445
Cl: 0.8989 0.1289 0.8338
Cl: 0.9031 0.1214 0.2713